Entry 1:
Starting from a cell relaxed with GGA-PBE, the PXRD pattern of TmHfFeSi2 was computed for CuKα.
No peak broadening, texture or thermal motion is included.

Cell and atoms:
```
TmHfFeSi2
1.0
5.012 -1.984 0.000
5.012 1.984 0.000
-4.583 0.000 8.467
Tm Hf Fe Si
2 2 2 4
Cartesian
1.413 0.000 0.895
4.028 0.000 7.572
-1.482 0.000 2.814
6.922 0.000 5.654
-0.122 0.000 5.240
5.563 0.000 3.227
1.580 0.000 3.664
4.334 0.000 1.141
1.107 0.000 7.326
3.861 0.000 4.804
```

Principal peaks in the range 15° ≤ 2θ ≤ 90°, in order of rising 2θ:
24.61°, rel. 83
26.89°, rel. 36
28.29°, rel. 58
35.34°, rel. 63
35.67°, rel. 100
35.76°, rel. 57
35.88°, rel. 34
36.35°, rel. 78
39.28°, rel. 50
42.72°, rel. 30
43.55°, rel. 43
45.73°, rel. 52

Entry 2:
Starting from a cell relaxed with GGA-PBE, the PXRD pattern of LiFeAgS3 was computed for CuKα.
No peak broadening, texture or thermal motion is included.

Cell and atoms:
```
LiFeAgS3
1.0
1.623 -6.562 0.000
1.623 6.562 0.000
0.000 0.000 9.703
Li Fe Ag S
2 2 2 6
Cartesian
1.623 4.247 7.278
1.623 -4.247 2.426
1.623 0.000 0.000
1.623 0.000 4.852
1.623 4.685 2.426
1.623 -4.685 7.278
1.623 4.937 0.057
1.623 4.937 4.795
1.623 0.506 2.426
1.623 -0.506 7.278
1.623 -4.937 4.909
1.623 -4.937 9.646
```

Principal peaks in the range 15° ≤ 2θ ≤ 90°, in order of rising 2θ:
16.31°, rel. 93
22.80°, rel. 18
29.81°, rel. 46
30.82°, rel. 16
34.40°, rel. 100
35.66°, rel. 17
37.06°, rel. 55
39.94°, rel. 17
44.39°, rel. 16
51.46°, rel. 58
56.70°, rel. 26
69.71°, rel. 19

Entry 3:
Starting from a cell relaxed with GGA-PBE, the PXRD pattern of RbZn13 was computed for CuKα.
No peak broadening, texture or thermal motion is included.

Cell and atoms:
```
RbZn13
1.0
0.000 6.180 6.180
6.180 0.000 6.180
6.180 6.180 0.000
Rb Zn
2 26
Cartesian
3.090 3.090 3.090
9.271 9.271 9.271
0.000 0.000 0.000
6.180 4.709 2.224
10.137 6.180 4.709
7.652 2.224 6.180
7.652 6.180 3.956
6.180 3.956 4.709
8.405 4.709 6.180
6.180 7.652 2.224
4.709 2.224 6.180
10.137 6.180 7.652
4.709 6.180 3.956
8.405 7.652 6.180
6.180 3.956 7.652
6.180 6.180 6.180
6.180 8.405 4.709
3.956 4.709 6.180
7.652 6.180 8.405
2.224 6.180 4.709
7.652 10.137 6.180
6.180 4.709 10.137
3.956 7.652 6.180
6.180 8.405 7.652
4.709 6.180 8.405
4.709 10.137 6.180
2.224 6.180 7.652
6.180 7.652 10.137
```

Principal peaks in the range 15° ≤ 2θ ≤ 90°, in order of rising 2θ:
32.39°, rel. 24
35.58°, rel. 61
43.30°, rel. 100
43.95°, rel. 32
46.46°, rel. 11
53.45°, rel. 8
55.64°, rel. 8
61.90°, rel. 8
69.25°, rel. 15
73.02°, rel. 9
75.33°, rel. 11
83.95°, rel. 14

Entry 4:
Starting from a cell relaxed with GGA-PBE, the PXRD pattern of TbDyIn4Ni2 was computed for CuKα.
No peak broadening, texture or thermal motion is included.

Cell and atoms:
```
TbDyIn4Ni2
1.0
7.440 0.000 0.000
0.000 4.314 0.000
0.000 0.000 10.458
Tb Dy In Ni
2 2 8 4
Cartesian
0.000 0.000 0.000
0.000 2.157 5.229
3.720 0.000 9.088
3.720 2.157 3.859
1.490 0.000 3.034
1.490 2.157 8.263
2.234 0.000 6.055
2.234 2.157 0.826
5.206 0.000 6.055
5.206 2.157 0.826
5.950 0.000 3.034
5.950 2.157 8.263
0.000 0.000 7.502
0.000 2.157 2.273
3.720 0.000 1.582
3.720 2.157 6.811
```

Principal peaks in the range 15° ≤ 2θ ≤ 90°, in order of rising 2θ:
32.93°, rel. 100
33.04°, rel. 34
35.23°, rel. 59
36.42°, rel. 29
40.24°, rel. 28
41.20°, rel. 18
41.88°, rel. 35
56.69°, rel. 16
59.48°, rel. 18
61.89°, rel. 18
66.20°, rel. 17
70.84°, rel. 14

Entry 5:
Starting from a cell relaxed with GGA-PBE, the PXRD pattern of HfTh was computed for CuKα.
No peak broadening, texture or thermal motion is included.

Cell and atoms:
```
HfTh
1.0
3.345 0.000 0.000
-1.673 2.897 0.000
0.000 0.000 5.553
Hf Th
1 1
Cartesian
0.000 0.000 0.000
1.673 0.966 2.776
```

Principal peaks in the range 15° ≤ 2θ ≤ 90°, in order of rising 2θ:
30.87°, rel. 24
32.24°, rel. 27
34.93°, rel. 100
45.24°, rel. 17
54.89°, rel. 19
59.24°, rel. 22
65.11°, rel. 22
66.74°, rel. 16
67.47°, rel. 3
73.78°, rel. 4
76.02°, rel. 4
85.04°, rel. 8

Entry 6:
Starting from a cell relaxed with GGA-PBE, the PXRD pattern of Cu5Ag4 was computed for CuKα.
No peak broadening, texture or thermal motion is included.

Cell and atoms:
```
Cu5Ag4
1.0
5.838 -1.375 0.000
5.838 1.375 0.000
-1.985 0.000 8.129
Cu Ag
5 4
Cartesian
0.000 0.000 0.000
-0.611 0.000 2.582
2.197 0.000 6.402
7.173 0.000 1.678
5.925 0.000 7.257
3.630 0.000 0.821
2.991 0.000 3.482
6.599 0.000 4.506
10.192 0.000 5.537
```

Principal peaks in the range 15° ≤ 2θ ≤ 90°, in order of rising 2θ:
40.17°, rel. 98
40.56°, rel. 100
46.36°, rel. 64
48.13°, rel. 29
67.11°, rel. 9
68.18°, rel. 10
69.05°, rel. 35
81.45°, rel. 19
82.20°, rel. 22
84.25°, rel. 5
84.57°, rel. 11
87.76°, rel. 10

Entry 7:
Starting from a cell relaxed with GGA-PBE, the PXRD pattern of DyTm2In3Cu3 was computed for CuKα.
No peak broadening, texture or thermal motion is included.

Cell and atoms:
```
DyTm2In3Cu3
1.0
3.827 0.000 0.000
0.000 6.498 3.745
0.000 -6.498 3.745
Dy Tm In Cu
1 2 3 3
Cartesian
0.000 0.000 0.000
0.000 -2.649 4.583
0.000 2.649 4.583
1.914 -1.684 2.095
1.914 1.684 2.095
1.914 0.000 4.989
0.000 0.000 3.065
1.914 -4.314 3.056
1.914 4.314 3.056
```

Principal peaks in the range 15° ≤ 2θ ≤ 90°, in order of rising 2θ:
33.46°, rel. 100
36.29°, rel. 69
36.62°, rel. 48
41.73°, rel. 26
43.82°, rel. 10
47.51°, rel. 19
50.70°, rel. 15
56.47°, rel. 21
61.44°, rel. 21
65.06°, rel. 13
67.47°, rel. 24
72.01°, rel. 10

Entry 8:
Starting from a cell relaxed with GGA-PBE, the PXRD pattern of RbOsSO was computed for CuKα.
No peak broadening, texture or thermal motion is included.

Cell and atoms:
```
RbOsSO
1.0
6.555 0.000 0.000
0.000 8.827 0.000
0.000 0.000 5.779
Rb Os S O
4 4 4 4
Cartesian
0.490 1.395 0.000
2.788 1.395 2.890
3.767 7.432 0.000
6.065 7.432 2.890
0.735 5.625 5.767
2.543 5.625 2.878
4.013 3.202 5.767
5.820 3.202 2.878
0.862 4.414 3.868
2.415 4.414 0.979
4.140 4.413 3.868
5.693 4.413 0.979
0.318 7.424 5.730
2.960 7.424 2.841
3.596 1.403 5.730
6.237 1.403 2.841
```

Principal peaks in the range 15° ≤ 2θ ≤ 90°, in order of rising 2θ:
16.85°, rel. 19
24.31°, rel. 45
28.87°, rel. 100
30.95°, rel. 41
31.38°, rel. 65
39.74°, rel. 25
46.37°, rel. 18
52.15°, rel. 19
52.43°, rel. 30
53.77°, rel. 20
55.32°, rel. 18
56.79°, rel. 20

Entry 9:
Starting from a cell relaxed with GGA-PBE, the PXRD pattern of RbBaTl4Pd2 was computed for CuKα.
No peak broadening, texture or thermal motion is included.

Cell and atoms:
```
RbBaTl4Pd2
1.0
8.582 0.000 0.000
0.000 4.546 0.000
0.000 0.000 11.553
Rb Ba Tl Pd
2 2 8 4
Cartesian
0.000 0.000 0.000
0.000 2.273 5.776
4.291 0.000 10.173
4.291 2.273 4.397
1.675 0.000 3.319
1.675 2.273 9.095
2.589 0.000 6.845
2.589 2.273 1.068
5.993 0.000 6.845
5.993 2.273 1.068
6.908 0.000 3.319
6.908 2.273 9.095
0.000 0.000 8.349
0.000 2.273 2.573
4.291 0.000 1.873
4.291 2.273 7.649
```

Principal peaks in the range 15° ≤ 2θ ≤ 90°, in order of rising 2θ:
15.34°, rel. 33
29.65°, rel. 100
30.42°, rel. 72
32.20°, rel. 45
32.72°, rel. 30
35.00°, rel. 44
37.08°, rel. 60
37.54°, rel. 31
37.97°, rel. 67
39.65°, rel. 48
53.91°, rel. 26
54.93°, rel. 28

Entry 10:
Starting from a cell relaxed with GGA-PBE, the PXRD pattern of Cu5Sn2Te7 was computed for CuKα.
No peak broadening, texture or thermal motion is included.

Cell and atoms:
```
Cu5Sn2Te7
1.0
6.840 -3.054 0.000
6.840 3.054 0.000
-1.370 0.000 9.561
Cu Sn Te
5 2 7
Cartesian
0.000 0.000 0.000
1.402 -0.042 4.083
2.737 -0.013 8.202
9.573 -0.013 1.360
10.909 -0.042 5.478
5.451 0.060 2.645
6.859 0.060 6.916
3.255 1.636 3.462
4.614 1.638 7.578
7.696 1.638 1.983
9.055 1.636 6.099
4.730 -1.659 0.524
6.155 -1.746 4.781
7.580 -1.659 9.037
```

Principal peaks in the range 15° ≤ 2θ ≤ 90°, in order of rising 2θ:
25.24°, rel. 100
27.25°, rel. 1
29.22°, rel. 3
32.98°, rel. 2
41.80°, rel. 72
49.46°, rel. 44
60.60°, rel. 11
66.71°, rel. 16
76.26°, rel. 4
76.35°, rel. 17
81.86°, rel. 6
81.95°, rel. 5

Entry 11:
Starting from a cell relaxed with GGA-PBE, the PXRD pattern of DyTm2Cd3Ga3 was computed for CuKα.
No peak broadening, texture or thermal motion is included.

Cell and atoms:
```
DyTm2Cd3Ga3
1.0
4.376 0.000 0.000
0.000 6.247 3.593
0.000 -6.247 3.593
Dy Tm Cd Ga
1 2 3 3
Cartesian
0.000 0.000 0.000
0.000 -2.660 2.596
0.000 2.660 2.596
2.188 0.000 2.331
2.188 -1.558 5.020
2.188 1.558 5.020
0.000 0.000 4.110
2.188 -4.152 4.126
2.188 4.152 4.126
```

Principal peaks in the range 15° ≤ 2θ ≤ 90°, in order of rising 2θ:
28.63°, rel. 14
32.20°, rel. 94
35.35°, rel. 100
38.15°, rel. 34
38.25°, rel. 16
41.26°, rel. 31
43.59°, rel. 16
57.24°, rel. 17
57.42°, rel. 28
69.02°, rel. 15
69.19°, rel. 12
71.39°, rel. 13